For SmZn2Cd10, a crystal structure in Alexandria, relaxed with PBE gives the computed powder diffraction line list in this record (Cu Kα X-rays).

Top 10 peaks for 10° ≤ 2θ ≤ 80°, sorted by position:
30.64 deg, I = 24; 31.37 deg, I = 48; 35.81 deg, I = 62; 36.45 deg, I = 100; 36.66 deg, I = 54; 40.38 deg, I = 44; 40.98 deg, I = 22; 41.17 deg, I = 25; 58.28 deg, I = 18; 65.85 deg, I = 18

Cell and atoms:
Lattice parameters (Å, degrees): 7.5266 7.5266 7.5107 98.61 98.61 134.37
Fractional coordinates of all 13 atoms:
Sm (0.0000, 0.0000, 0.0000)
Zn (0.0000, 0.0000, 0.5000)
Zn (0.5000, 0.5000, 0.5000)
Cd (0.0000, 0.5000, 0.0000)
Cd (0.0081, 0.3478, 0.3557)
Cd (0.2849, 0.4938, 0.7783)
Cd (0.3478, 0.0081, 0.3557)
Cd (0.4938, 0.2849, 0.7783)
Cd (0.5000, 0.0000, 0.0000)
Cd (0.5062, 0.7151, 0.2217)
Cd (0.6522, 0.9919, 0.6443)
Cd (0.7151, 0.5062, 0.2217)
Cd (0.9919, 0.6522, 0.6443)